[1]
For Ac8Sn3Bi2, a DFT-relaxed cell (GGA-PBE, Alexandria) gives the computed X-ray diffraction stick pattern in this record (Cu Kα X-rays).
Lines closer than 0.1° are merged.

Cell and atoms:
Cell lengths 17.2424, 9.1919, 8.2428 Å; angles 90.00, 108.60, 90.00 degrees
Space group C2/m (No. 12)
Symmetry-distinct sites (fractional):
Ac  0.1042  0.0000  0.3535
Ac  0.1113  0.2457  0.9049
Ac  0.1125  0.5000  0.4163
Sn  0.0000  0.2375  0.5000
Sn  0.0000  0.5000  0.0000
Bi  0.2464  0.5000  0.8414

Main lines, by angle (2θ = 10–90°):
d/Å  Position (°2θ)  I_rel  index
3.815  23.3  26  2 2 -1
3.358  26.5  30  2 2 1
3.154  28.3  48  2 0 2
3.106  28.7  100  4 2 -1
2.639  34.0  25  4 2 1
2.358  38.2  49  2 2 -3
2.298  39.2  27  0 4 0
1.857  49.0  22  2 4 2

---

[2]
For Pm3Y4Hg, a DFT-relaxed cell (GGA-PBE, Alexandria) gives the computed X-ray diffraction stick pattern in this record (Cu Kα X-rays).
Lines closer than 0.1° are merged.

Cell and atoms:
Cell lengths 3.6196, 3.6196, 19.2349 Å; angles 90.00, 90.00, 90.00 degrees
Space group P4/mmm (No. 123)
Symmetry-distinct sites (fractional):
Pm  0.0000  0.0000  0.0000
Pm  0.0000  0.0000  0.2646
Y  0.5000  0.5000  0.1325
Y  0.5000  0.5000  0.3971
Hg  0.0000  0.0000  0.5000

Main lines, by angle (2θ = 10–90°):
d/Å  Position (°2θ)  I_rel  index
4.809  18.5  8  0 0 4
2.892  30.9  100  1 0 4
2.559  35.1  40  1 1 0
2.404  37.4  13  0 0 8
1.810  50.4  14  2 0 0
1.752  52.2  17  1 1 8
1.534  60.3  29  2 1 4
1.446  64.4  10  2 0 8